No. 1
Diffraction record for TaTi2S. The X-ray powder pattern is calculated, not measured: it uses the GGA-PBE geometry in Alexandria and Cu Kα X-rays.
Peak positions follow from Bragg's law for the DFT cell and can differ from measured ones.

Crystal structure
Cell: 8.137 8.137 8.137 Å, 22.12 22.12 22.12°
Positions (direct):
Ta 0.000 0.000 0.000
Ti 0.571 0.571 0.571
Ti 0.764 0.764 0.764
S 0.169 0.169 0.169

Top 8 peaks for 2θ = 10–80°, by angle:
d 7.935, 2θ = 11.15°, I 100
d 3.967, 2θ = 22.41°, I 25
d 2.687, 2θ = 33.35°, I 45
d 2.637, 2θ = 34.00°, I 40
d 2.462, 2θ = 36.50°, I 55
d 2.351, 2θ = 38.28°, I 86
d 2.116, 2θ = 42.72°, I 44
d 1.561, 2θ = 59.18°, I 30

=====

No. 2
Diffraction record for Ta2TiVS. The X-ray powder pattern is calculated, not measured: it uses the GGA-PBE geometry in Alexandria and Cu Kα X-rays.
Peak positions follow from Bragg's law for the DFT cell and can differ from measured ones.

Crystal structure
Cell: 4.852 4.852 4.164 Å, 90.00 90.00 90.00°
Positions (direct):
Ta 0.000 0.500 0.000
Ta 0.500 0.000 0.000
Ti 0.000 0.000 0.000
V 0.000 0.000 0.500
S 0.500 0.500 0.500

Top 8 peaks for 2θ = 10–80°, by angle:
d 4.164, 2θ = 21.34°, I 52
d 3.431, 2θ = 25.97°, I 31
d 2.648, 2θ = 33.85°, I 100
d 2.426, 2θ = 37.06°, I 60
d 2.096, 2θ = 43.16°, I 35
d 1.715, 2θ = 53.41°, I 21
d 1.580, 2θ = 58.41°, I 31
d 1.440, 2θ = 64.76°, I 31